1.
Starting from a GGA-PBE-relaxed structure, the PXRD pattern of Ba14Cd6Rh3 was simulated for Cu Ka.
No peak broadening, texture or thermal motion is included.

Main lines, in order of rising 2θ (2θ = 10–90°):
2θ/deg  I (rel.)  index
13.88  179  1 0 1
25.09  410  1 2 1
27.92  1000  0 3 1
29.58  242  2 2 0
31.72  150  1 2 2
45.04  282  3 3 0

Structure:
Unit cell a=12.0778 b=12.0778 c=8.0503 alpha=90.00 beta=90.00 gamma=120.00
Space group P3m1 (No. 156)
One atom of each set of equivalent atoms:
Ba (0.0000, 0.0000, 0.0000) [1 per cell]
Ba (0.1021, 0.5510, 0.6213) [3 per cell]
Ba (0.2174, 0.4348, 0.1499) [3 per cell]
Ba (0.2562, 0.1281, 0.4222) [3 per cell]
Ba (0.4093, 0.2046, 0.9185) [3 per cell]
Ba (0.6667, 0.3333, 0.4907) [1 per cell]
Cd (0.1304, 0.2607, 0.7198) [3 per cell]
Cd (0.5372, 0.0744, 0.2139) [3 per cell]
Rh (0.0000, 0.0000, 0.6300) [1 per cell]
Rh (0.3333, 0.6667, 0.3909) [1 per cell]
Rh (0.6667, 0.3333, 0.1202) [1 per cell]

***

2.
Starting from a GGA-PBE-relaxed structure, the PXRD pattern of Ba2CdSn4Rh3 was simulated for Cu Ka.
No peak broadening, texture or thermal motion is included.

Main lines, in order of rising 2θ (2θ = 10–90°):
2θ/deg  I (rel.)  index
30.76  577  1 0 3
31.09  1000  1 1 2
37.68  761  2 0 0
42.41  318  1 1 4
49.40  310  2 1 3
54.35  269  2 2 0

Structure:
Unit cell a=4.7749 b=4.7749 c=10.9905 alpha=90.00 beta=90.00 gamma=90.00
Space group P-4m2 (No. 115)
One atom of each set of equivalent atoms:
Ba (0.0000, 0.5000, 0.2491) [2 per cell]
Cd (0.0000, 0.0000, 0.5000) [1 per cell]
Sn (0.0000, 0.0000, 0.0000) [1 per cell]
Sn (0.0000, 0.5000, 0.6373) [2 per cell]
Sn (0.5000, 0.5000, 0.0000) [1 per cell]
Rh (0.0000, 0.5000, 0.8818) [2 per cell]
Rh (0.5000, 0.5000, 0.5000) [1 per cell]

***

3.
Starting from a GGA-PBE-relaxed structure, the PXRD pattern of Ba11Cd6Sb12 was simulated for Cu Ka.
No peak broadening, texture or thermal motion is included.

Main lines, in order of rising 2θ (2θ = 10–90°):
2θ/deg  I (rel.)  index
26.21  500  7 1 0
27.20  534  1 1 -3
27.61  965  5 1 -3
29.01  515  5 1 2
29.37  602  9 1 -1
36.07  1000  0 2 0

Structure:
Unit cell a=34.6223 b=4.9800 c=13.3900 alpha=90.00 beta=109.79 gamma=90.00
Space group C2/m (No. 12)
One atom of each set of equivalent atoms:
Ba (0.0000, 0.0000, 0.0000) [2 per cell]
Ba (0.0179, 0.0000, 0.6794) [4 per cell]
Ba (0.1131, 0.0000, 0.5095) [4 per cell]
Ba (0.1263, 0.0000, 0.0198) [4 per cell]
Ba (0.1996, 0.0000, 0.3471) [4 per cell]
Ba (0.2196, 0.5000, 0.8647) [4 per cell]
Cd (0.0461, 0.5000, 0.2399) [4 per cell]
Cd (0.0995, 0.5000, 0.7462) [4 per cell]
Cd (0.2183, 0.0000, 0.6708) [4 per cell]
Sb (0.0420, 0.5000, 0.5061) [4 per cell]
Sb (0.0466, 0.5000, 0.8802) [4 per cell]
Sb (0.0867, 0.0000, 0.2357) [4 per cell]
Sb (0.1473, 0.0000, 0.7831) [4 per cell]
Sb (0.1924, 0.5000, 0.5426) [4 per cell]
Sb (0.2066, 0.5000, 0.1435) [4 per cell]

***

4.
Starting from a GGA-PBE-relaxed structure, the PXRD pattern of Ba3CdSb3 was simulated for Cu Ka.
No peak broadening, texture or thermal motion is included.

Main lines, in order of rising 2θ (2θ = 10–90°):
2θ/deg  I (rel.)  index
24.34  320  0 2 0
24.66  865  6 0 0
34.93  1000  6 2 0
35.15  567  6 0 4
43.22  268  6 2 4
62.92  287  12 2 4

Structure:
Unit cell a=21.6592 b=7.3132 c=14.4450 alpha=90.00 beta=90.00 gamma=90.00
Space group Cmce (No. 64)
One atom of each set of equivalent atoms:
Ba (0.0000, 0.2008, 0.1442) [8 per cell]
Ba (0.1731, 0.2062, 0.8700) [16 per cell]
Cd (0.0848, 0.0000, 0.5000) [8 per cell]
Sb (0.0000, 0.2228, 0.3901) [8 per cell]
Sb (0.1625, 0.2160, 0.6215) [16 per cell]

***

5.
Starting from a GGA-PBE-relaxed structure, the PXRD pattern of Ba6Cd5Sb was simulated for Cu Ka.
No peak broadening, texture or thermal motion is included.

Main lines, in order of rising 2θ (2θ = 10–90°):
2θ/deg  I (rel.)  index
29.43  202  0 6 0
29.69  1000  2 0 0
42.29  148  2 6 0
52.37  152  1 9 2
52.69  232  3 3 2
61.65  118  4 0 0

Structure:
Unit cell a=6.0192 b=18.2088 c=8.4725 alpha=90.00 beta=90.00 gamma=90.00
Space group Cmmm (No. 65)
One atom of each set of equivalent atoms:
Ba (0.0000, 0.0000, 0.2405) [4 per cell]
Ba (0.0000, 0.3362, 0.2482) [8 per cell]
Cd (0.0000, 0.1687, 0.5000) [4 per cell]
Cd (0.0000, 0.1752, 0.0000) [4 per cell]
Cd (0.0000, 0.5000, 0.5000) [2 per cell]
Sb (0.0000, 0.5000, 0.0000) [2 per cell]

***

6.
Starting from a GGA-PBE-relaxed structure, the PXRD pattern of BaCd6Sb4 was simulated for Cu Ka.
No peak broadening, texture or thermal motion is included.

Main lines, in order of rising 2θ (2θ = 10–90°):
2θ/deg  I (rel.)  index
24.88  675  1 1 -3
27.02  343  1 1 3
30.78  443  2 0 2
36.05  816  0 2 4
37.90  356  2 0 -5
38.59  1000  2 2 -1

Structure:
Unit cell a=6.6347 b=6.5976 c=15.3013 alpha=90.00 beta=96.56 gamma=90.00
Space group C2/m (No. 12)
One atom of each set of equivalent atoms:
Ba (0.0000, 0.0000, 0.0000) [2 per cell]
Cd (0.0000, 0.2847, 0.5000) [4 per cell]
Cd (0.1715, 0.2379, 0.7585) [8 per cell]
Sb (0.0277, 0.5000, 0.1177) [4 per cell]
Sb (0.1283, 0.0000, 0.3646) [4 per cell]

***

7.
Starting from a GGA-PBE-relaxed structure, the PXRD pattern of BaCd2Sb2 was simulated for Cu Ka.
No peak broadening, texture or thermal motion is included.

Main lines, in order of rising 2θ (2θ = 10–90°):
2θ/deg  I (rel.)  index
25.61  1000  2 1 1
28.00  612  3 0 2
29.92  970  1 1 3
37.77  551  0 2 0
40.17  290  4 1 2
47.67  277  3 2 2

Structure:
Unit cell a=11.1958 b=4.7637 c=12.2417 alpha=90.00 beta=90.00 gamma=90.00
Space group Pnma (No. 62)
One atom of each set of equivalent atoms:
Ba (0.2431, 0.2500, 0.1917) [4 per cell]
Cd (0.0704, 0.7500, 0.3899) [4 per cell]
Cd (0.0824, 0.7500, 0.9585) [4 per cell]
Sb (0.0376, 0.2500, 0.8225) [4 per cell]
Sb (0.1643, 0.2500, 0.4837) [4 per cell]

***

8.
Starting from a GGA-PBE-relaxed structure, the PXRD pattern of Ba2CdSn2Sb4 was simulated for Cu Ka.
No peak broadening, texture or thermal motion is included.

Main lines, in order of rising 2θ (2θ = 10–90°):
2θ/deg  I (rel.)  index
29.10  404  4 0 -2
29.85  1000  3 1 1
30.54  451  1 1 -2
31.36  680  3 1 -2
32.02  862  0 2 0
32.29  353  6 0 -1

Structure:
Unit cell a=16.6722 b=5.5903 c=6.9351 alpha=90.00 beta=109.64 gamma=90.00
Space group C2/m (No. 12)
One atom of each set of equivalent atoms:
Ba (0.1324, 0.0000, 0.1042) [4 per cell]
Cd (0.0000, 0.0000, 0.5000) [2 per cell]
Sn (0.1599, 0.5000, 0.5219) [4 per cell]
Sb (0.0100, 0.5000, 0.7825) [4 per cell]
Sb (0.2023, 0.0000, 0.6790) [4 per cell]

***

9.
Starting from a GGA-PBE-relaxed structure, the PXRD pattern of BaCdSe was simulated for Cu Ka.
No peak broadening, texture or thermal motion is included.

Main lines, in order of rising 2θ (2θ = 10–90°):
2θ/deg  I (rel.)  index
20.01  358  0 1 2
24.98  434  0 1 5
29.32  353  0 0 9
29.72  205  1 0 7
33.08  1000  1 1 0
44.78  650  1 1 9

Structure:
Unit cell a=5.4155 b=5.4155 c=27.4183 alpha=90.00 beta=90.00 gamma=120.00
Space group R-3m (No. 166, hexagonal axes)
One atom of each set of equivalent atoms:
Ba (0.0000, 0.0000, 0.1005) [6 per cell]
Cd (0.0000, 0.0000, 0.3238) [6 per cell]
Se (0.0000, 0.0000, 0.2192) [6 per cell]

***

10.
Starting from a GGA-PBE-relaxed structure, the PXRD pattern of Ba4CdSi3 was simulated for Cu Ka.
No peak broadening, texture or thermal motion is included.

Main lines, in order of rising 2θ (2θ = 10–90°):
2θ/deg  I (rel.)  index
24.85  429  1 0 2
27.68  667  0 1 3
28.00  1000  1 1 1
34.62  455  1 1 3
35.70  309  0 2 0
50.56  246  2 1 3

Structure:
Unit cell a=4.3583 b=5.0293 c=12.5929 alpha=90.00 beta=90.00 gamma=90.00
Space group Pmm2 (No. 25)
One atom of each set of equivalent atoms:
Ba (0.0000, 0.0000, 0.0000) [1 per cell]
Ba (0.0000, 0.5000, 0.4746) [1 per cell]
Ba (0.5000, 0.0000, 0.7051) [1 per cell]
Ba (0.5000, 0.5000, 0.2109) [1 per cell]
Cd (0.0000, 0.5000, 0.7933) [1 per cell]
Si (0.0000, 0.0000, 0.2894) [1 per cell]
Si (0.5000, 0.0000, 0.3999) [1 per cell]
Si (0.5000, 0.5000, 0.9241) [1 per cell]

***

11.
Starting from a GGA-PBE-relaxed structure, the PXRD pattern of Ba5SmCd6 was simulated for Cu Ka.
No peak broadening, texture or thermal motion is included.

Main lines, in order of rising 2θ (2θ = 10–90°):
2θ/deg  I (rel.)  index
30.19  199  6 0 0
30.33  1000  2 0 -2
43.30  146  8 0 -2
53.71  128  10 2 -1
53.87  209  6 2 -3
63.08  97  4 0 -4

Structure:
Unit cell a=18.7173 b=8.3113 c=5.8986 alpha=90.00 beta=108.37 gamma=90.00
Space group C2/m (No. 12)
One atom of each set of equivalent atoms:
Ba (0.0000, 0.0000, 0.0000) [2 per cell]
Ba (0.1622, 0.0000, 0.6617) [4 per cell]
Ba (0.1762, 0.5000, 0.6756) [4 per cell]
Sm (0.0000, 0.5000, 0.0000) [2 per cell]
Cd (0.0000, 0.2917, 0.5000) [4 per cell]
Cd (0.1550, 0.2731, 0.1541) [8 per cell]

***

12.
Starting from a GGA-PBE-relaxed structure, the PXRD pattern of Ba2Cd10Sn was simulated for Cu Ka.
No peak broadening, texture or thermal motion is included.

Main lines, in order of rising 2θ (2θ = 10–90°):
2θ/deg  I (rel.)  index
29.62  1000  1 3 1
32.82  284  2 4 0
33.95  374  4 0 -1
34.85  409  1 1 -2
35.67  245  2 4 -1
36.60  224  1 5 0

Structure:
Unit cell a=11.1489 b=12.5980 c=5.2624 alpha=90.00 beta=101.44 gamma=90.00
Space group C2/m (No. 12)
One atom of each set of equivalent atoms:
Ba (0.2376, 0.0000, 0.3343) [4 per cell]
Cd (0.0000, 0.3338, 0.5000) [4 per cell]
Cd (0.0642, 0.1243, 0.7756) [8 per cell]
Cd (0.1711, 0.2989, 0.1569) [8 per cell]
Sn (0.0000, 0.5000, 0.0000) [2 per cell]